1.
Simulated X-ray diffraction stick pattern of Ca2Si3Pd5 for Cu Kα (weighted mean of Kα1 and Kα2), from DFT lattice parameters and positions (GGA-PBE).
Intensities are scaled so that the largest is 100.

Principal peaks in the range 5 to 70 degrees two-theta, sorted by position:
- 2θ = 7.15°, I = 21
- 2θ = 19.43°, I = 24
- 2θ = 27.44°, I = 24
- 2θ = 35.92°, I = 100
- 2θ = 38.81°, I = 43
- 2θ = 39.34°, I = 27
- 2θ = 43.65°, I = 38
- 2θ = 45.88°, I = 21
- 2θ = 47.94°, I = 18
- 2θ = 68.32°, I = 29

Cell and atoms:
abc: 12.5363 12.5363 6.7778
angles: 90.00 90.00 160.96
Positions (direct):
Ca: 0.0209 0.9791 0.5000
Ca: 0.3246 0.6754 0.4859
Ca: 0.6754 0.3246 0.9859
Ca: 0.9791 0.0209 0.0000
Si: 0.1143 0.8857 0.2546
Si: 0.2710 0.7290 0.9849
Si: 0.4451 0.5549 0.2883
Si: 0.5549 0.4451 0.7883
Si: 0.7290 0.2710 0.4849
Si: 0.8857 0.1143 0.7546
Pd: 0.0936 0.9064 0.8937
Pd: 0.2090 0.7910 0.6918
Pd: 0.2122 0.7878 0.2785
Pd: 0.3705 0.6295 0.0019
Pd: 0.4400 0.5600 0.6681
Pd: 0.5600 0.4400 0.1681
Pd: 0.6295 0.3705 0.5019
Pd: 0.7878 0.2122 0.7785
Pd: 0.7910 0.2090 0.1918
Pd: 0.9064 0.0936 0.3937

2.
Simulated X-ray diffraction stick pattern of Ca3Si6Pd20 for Cu Kα (weighted mean of Kα1 and Kα2), from DFT lattice parameters and positions (GGA-PBE).
Intensities are scaled so that the largest is 100.

Principal peaks in the range 5 to 70 degrees two-theta, sorted by position:
- 2θ = 20.37°, I = 12
- 2θ = 32.47°, I = 18
- 2θ = 35.67°, I = 12
- 2θ = 37.91°, I = 100
- 2θ = 41.42°, I = 19
- 2θ = 43.41°, I = 41
- 2θ = 44.06°, I = 17
- 2θ = 64.07°, I = 20
- 2θ = 65.56°, I = 13
- 2θ = 69.43°, I = 11

Cell and atoms:
abc: 8.7200 8.7200 8.7200
angles: 60.00 60.00 60.00
Positions (direct):
Ca: 0.0000 0.0000 0.0000
Ca: 0.2500 0.2500 0.2500
Ca: 0.7500 0.7500 0.7500
Si: 0.2679 0.2679 0.7321
Si: 0.2679 0.7321 0.2679
Si: 0.2679 0.7321 0.7321
Si: 0.7321 0.2679 0.2679
Si: 0.7321 0.2679 0.7321
Si: 0.7321 0.7321 0.2679
Pd: 0.0000 0.0000 0.3448
Pd: 0.0000 0.0000 0.6552
Pd: 0.0000 0.3448 0.0000
Pd: 0.0000 0.3448 0.6552
Pd: 0.0000 0.6552 0.0000
Pd: 0.0000 0.6552 0.3448
Pd: 0.1542 0.6153 0.6153
Pd: 0.3448 0.0000 0.0000
Pd: 0.3448 0.0000 0.6552
Pd: 0.3448 0.6552 0.0000
Pd: 0.3847 0.3847 0.3847
Pd: 0.3847 0.3847 0.8458
Pd: 0.3847 0.8458 0.3847
Pd: 0.6153 0.1542 0.6153
Pd: 0.6153 0.6153 0.1542
Pd: 0.6153 0.6153 0.6153
Pd: 0.6552 0.0000 0.0000
Pd: 0.6552 0.0000 0.3448
Pd: 0.6552 0.3448 0.0000
Pd: 0.8458 0.3847 0.3847

3.
Simulated X-ray diffraction stick pattern of CaSi3Pd3 for Cu Kα (weighted mean of Kα1 and Kα2), from DFT lattice parameters and positions (GGA-PBE).
Intensities are scaled so that the largest is 100.

Principal peaks in the range 5 to 70 degrees two-theta, sorted by position:
- 2θ = 15.79°, I = 21
- 2θ = 27.45°, I = 72
- 2θ = 29.76°, I = 100
- 2θ = 38.39°, I = 35
- 2θ = 40.99°, I = 48
- 2θ = 41.81°, I = 67
- 2θ = 44.93°, I = 29
- 2θ = 49.97°, I = 33
- 2θ = 52.79°, I = 26
- 2θ = 56.09°, I = 28

Cell and atoms:
abc: 7.5858 7.5858 7.5858
angles: 53.00 53.00 53.00
Positions (direct):
Ca: 0.1653 0.1653 0.1653
Ca: 0.8347 0.8347 0.8347
Si: 0.0261 0.6146 0.2170
Si: 0.2170 0.0261 0.6146
Si: 0.3854 0.7830 0.9739
Si: 0.6146 0.2170 0.0261
Si: 0.7830 0.9739 0.3854
Si: 0.9739 0.3854 0.7830
Pd: 0.1633 0.6592 0.4035
Pd: 0.3408 0.5965 0.8367
Pd: 0.4035 0.1633 0.6592
Pd: 0.5965 0.8367 0.3408
Pd: 0.6592 0.4035 0.1633
Pd: 0.8367 0.3408 0.5965

4.
Simulated X-ray diffraction stick pattern of CaTmSi2Pd5 for Cu Kα (weighted mean of Kα1 and Kα2), from DFT lattice parameters and positions (GGA-PBE).
Intensities are scaled so that the largest is 100.

Principal peaks in the range 5 to 70 degrees two-theta, sorted by position:
- 2θ = 23.50°, I = 21
- 2θ = 36.47°, I = 100
- 2θ = 37.15°, I = 13
- 2θ = 40.54°, I = 15
- 2θ = 43.26°, I = 38
- 2θ = 49.81°, I = 6
- 2θ = 56.15°, I = 4
- 2θ = 58.31°, I = 7
- 2θ = 60.77°, I = 19
- 2θ = 62.84°, I = 12

Cell and atoms:
abc: 4.1829 4.1829 8.9018
angles: 90.00 90.00 90.00
Positions (direct):
Ca: 0.0000 0.0000 0.0000
Tm: 0.0000 0.0000 0.5000
Si: 0.5000 0.5000 0.3685
Si: 0.5000 0.5000 0.6315
Pd: 0.0000 0.5000 0.2377
Pd: 0.0000 0.5000 0.7623
Pd: 0.5000 0.0000 0.2377
Pd: 0.5000 0.0000 0.7623
Pd: 0.5000 0.5000 0.0000

5.
Simulated X-ray diffraction stick pattern of CaSm4Pd5 for Cu Kα (weighted mean of Kα1 and Kα2), from DFT lattice parameters and positions (GGA-PBE).
Intensities are scaled so that the largest is 100.

Principal peaks in the range 5 to 70 degrees two-theta, sorted by position:
- 2θ = 9.70°, I = 5
- 2θ = 14.58°, I = 3
- 2θ = 19.48°, I = 2
- 2θ = 25.63°, I = 2
- 2θ = 35.34°, I = 100
- 2θ = 35.87°, I = 48
- 2θ = 50.03°, I = 9
- 2θ = 51.63°, I = 17
- 2θ = 63.08°, I = 18
- 2θ = 64.12°, I = 35

Cell and atoms:
abc: 3.5407 3.5407 18.2299
angles: 90.00 90.00 90.00
Positions (direct):
Ca: 0.0000 0.0000 0.0000
Sm: 0.0000 0.0000 0.1979
Sm: 0.0000 0.0000 0.3997
Sm: 0.0000 0.0000 0.6003
Sm: 0.0000 0.0000 0.8021
Pd: 0.5000 0.5000 0.1063
Pd: 0.5000 0.5000 0.3000
Pd: 0.5000 0.5000 0.5000
Pd: 0.5000 0.5000 0.7000
Pd: 0.5000 0.5000 0.8937

6.
Simulated X-ray diffraction stick pattern of CaSn2Pd for Cu Kα (weighted mean of Kα1 and Kα2), from DFT lattice parameters and positions (GGA-PBE).
Intensities are scaled so that the largest is 100.

Principal peaks in the range 5 to 70 degrees two-theta, sorted by position:
- 2θ = 18.01°, I = 36
- 2θ = 19.62°, I = 29
- 2θ = 31.38°, I = 54
- 2θ = 32.05°, I = 94
- 2θ = 33.66°, I = 74
- 2θ = 35.40°, I = 34
- 2θ = 38.94°, I = 31
- 2θ = 39.84°, I = 100
- 2θ = 40.18°, I = 35
- 2θ = 42.26°, I = 34

Cell and atoms:
abc: 16.9138 7.4379 6.0568
angles: 90.00 90.00 90.00
Positions (direct):
Ca: 0.1108 0.2500 0.2413
Ca: 0.1430 0.7500 0.4809
Ca: 0.3570 0.2500 0.9809
Ca: 0.3892 0.7500 0.7413
Ca: 0.6108 0.2500 0.2587
Ca: 0.6430 0.7500 0.0191
Ca: 0.8570 0.2500 0.5191
Ca: 0.8892 0.7500 0.7587
Sn: 0.0301 0.0432 0.7456
Sn: 0.0301 0.4568 0.7456
Sn: 0.2179 0.5474 0.9782
Sn: 0.2179 0.9526 0.9782
Sn: 0.2821 0.0474 0.4782
Sn: 0.2821 0.4526 0.4782
Sn: 0.4699 0.5432 0.2456
Sn: 0.4699 0.9568 0.2456
Sn: 0.5301 0.0432 0.7544
Sn: 0.5301 0.4568 0.7544
Sn: 0.7179 0.5474 0.5218
Sn: 0.7179 0.9526 0.5218
Sn: 0.7821 0.0474 0.0218
Sn: 0.7821 0.4526 0.0218
Sn: 0.9699 0.5432 0.2544
Sn: 0.9699 0.9568 0.2544
Pd: 0.0789 0.7500 0.0060
Pd: 0.1642 0.2500 0.7240
Pd: 0.3358 0.7500 0.2240
Pd: 0.4211 0.2500 0.5060
Pd: 0.5789 0.7500 0.4940
Pd: 0.6642 0.2500 0.7760
Pd: 0.8358 0.7500 0.2760
Pd: 0.9211 0.2500 0.9940

7.
Simulated X-ray diffraction stick pattern of CaSn3Pd3 for Cu Kα (weighted mean of Kα1 and Kα2), from DFT lattice parameters and positions (GGA-PBE).
Intensities are scaled so that the largest is 100.

Principal peaks in the range 5 to 70 degrees two-theta, sorted by position:
- 2θ = 21.46°, I = 70
- 2θ = 33.27°, I = 6
- 2θ = 37.63°, I = 95
- 2θ = 39.94°, I = 100
- 2θ = 43.73°, I = 10
- 2θ = 51.09°, I = 11
- 2θ = 56.03°, I = 36
- 2θ = 59.03°, I = 8
- 2θ = 67.92°, I = 15
- 2θ = 69.47°, I = 35

Cell and atoms:
abc: 7.2017 7.2017 7.2017
angles: 70.19 70.19 70.19
Positions (direct):
Ca: 0.1700 0.1700 0.1700
Ca: 0.8300 0.8300 0.8300
Sn: 0.0712 0.7077 0.3812
Sn: 0.2923 0.6188 0.9288
Sn: 0.3812 0.0712 0.7077
Sn: 0.6188 0.9288 0.2923
Sn: 0.7077 0.3812 0.0712
Sn: 0.9288 0.2923 0.6188
Pd: 0.1273 0.4443 0.7630
Pd: 0.2370 0.8727 0.5557
Pd: 0.4443 0.7630 0.1273
Pd: 0.5557 0.2370 0.8727
Pd: 0.7630 0.1273 0.4443
Pd: 0.8727 0.5557 0.2370

8.
Simulated X-ray diffraction stick pattern of CaSn2Pd7 for Cu Kα (weighted mean of Kα1 and Kα2), from DFT lattice parameters and positions (GGA-PBE).
Intensities are scaled so that the largest is 100.

Principal peaks in the range 5 to 70 degrees two-theta, sorted by position:
- 2θ = 19.57°, I = 78
- 2θ = 24.23°, I = 17
- 2θ = 27.72°, I = 19
- 2θ = 33.34°, I = 19
- 2θ = 36.38°, I = 41
- 2θ = 39.75°, I = 50
- 2θ = 41.12°, I = 100
- 2θ = 42.49°, I = 55
- 2θ = 46.85°, I = 20
- 2θ = 54.97°, I = 25

Cell and atoms:
abc: 7.6165 7.6165 4.5354
angles: 90.00 90.00 122.33
Positions (direct):
Ca: 0.0000 0.0000 0.0000
Sn: 0.3001 0.6999 0.5000
Sn: 0.6999 0.3001 0.5000
Pd: 0.0722 0.2943 0.5000
Pd: 0.2054 0.7946 0.0000
Pd: 0.2943 0.0722 0.5000
Pd: 0.5000 0.5000 0.5000
Pd: 0.7057 0.9278 0.5000
Pd: 0.7946 0.2054 0.0000
Pd: 0.9278 0.7057 0.5000